Simulated powder diffractogram
Compound: SrH16O10
Radiation: Cu Kα (weighted mean of Kα1 and Kα2)
Structure: a crystal structure in Alexandria, relaxed with PBE
Kinematic intensities with the Lorentz-polarization factor, no thermal factor.

Largest 10 diffraction maxima, sorted by position, 15° ≤ 2θ ≤ 90°:
- 2θ = 15.89°, I = 87
- 2θ = 19.85°, I = 46
- 2θ = 21.22°, I = 44
- 2θ = 25.49°, I = 100
- 2θ = 25.62°, I = 34
- 2θ = 32.47°, I = 36
- 2θ = 32.62°, I = 88
- 2θ = 35.53°, I = 26
- 2θ = 37.96°, I = 29
- 2θ = 45.33°, I = 68

Structure:
Lattice parameters (Å, degrees): 6.325 6.327 11.158 90.26 90.29 90.07
Space group P-1 (No. 2)
Unique sites:
Sr (0.002, 0.497, 0.250) x2
H (0.029, 0.048, 0.871) x2
H (0.031, 0.954, 0.629) x2
H (0.140, 0.815, 0.469) x2
H (0.142, 0.184, 0.033) x2
H (0.271, 0.111, 0.853) x2
H (0.274, 0.895, 0.648) x2
H (0.278, 0.887, 0.355) x2
H (0.282, 0.106, 0.145) x2
H (0.315, 0.641, 0.969) x2
H (0.316, 0.357, 0.467) x2
H (0.388, 0.779, 0.855) x2
H (0.390, 0.230, 0.647) x2
H (0.393, 0.217, 0.355) x2
H (0.394, 0.774, 0.148) x2
H (0.453, 0.472, 0.629) x2
H (0.453, 0.530, 0.129) x2
O (0.128, 0.172, 0.877) x2
O (0.132, 0.832, 0.624) x2
O (0.135, 0.827, 0.379) x2
O (0.139, 0.169, 0.122) x2
O (0.328, 0.636, 0.879) x2
O (0.329, 0.373, 0.623) x2
O (0.330, 0.360, 0.378) x2
O (0.331, 0.631, 0.124) x2
O (0.496, 0.004, 0.683) x2
O (0.497, 0.004, 0.817) x2

Simulated powder diffractogram
Compound: SrTeH2O4
Radiation: Cu Kα (weighted mean of Kα1 and Kα2)
Structure: a crystal structure in Alexandria, relaxed with PBE
Kinematic intensities with the Lorentz-polarization factor, no thermal factor.

Largest 10 diffraction maxima, sorted by position, 15° ≤ 2θ ≤ 90°:
- 2θ = 16.94°, I = 46
- 2θ = 22.22°, I = 28
- 2θ = 23.50°, I = 25
- 2θ = 26.57°, I = 28
- 2θ = 27.10°, I = 70
- 2θ = 28.13°, I = 100
- 2θ = 30.89°, I = 65
- 2θ = 31.58°, I = 26
- 2θ = 37.75°, I = 24
- 2θ = 45.10°, I = 28

Structure:
Lattice parameters (Å, degrees): 7.944 7.243 8.378 90.00 107.65 90.00
Space group P2_1/c (No. 14)
Unique sites:
Sr (0.104, 0.136, 0.340) x4
Te (0.285, 0.674, 0.506) x4
H (0.305, 0.048, 0.712) x4
H (0.489, 0.070, 0.671) x4
O (0.065, 0.701, 0.949) x4
O (0.196, 0.025, 0.854) x4
O (0.286, 0.572, 0.715) x4
O (0.358, 0.066, 0.618) x4